Record 1
This entry pairs a crystal structure of Nd4BiS2N with its theoretical X-ray powder pattern. Radiation: Cu Ka. Structure: a DFT-relaxed cell (GGA-PBE, Alexandria).
No peak broadening, texture or thermal motion is included.

Principal peaks in the range 2θ from 10° to 90°, low angle first:
- 2θ = 17.1°, d 5.197, intensity 27.8
- 2θ = 27.5°, d 3.240, intensity 82.8
- 2θ = 29.2°, d 3.055, intensity 100.0
- 2θ = 34.5°, d 2.598, intensity 28.2
- 2θ = 34.7°, d 2.587, intensity 30.9
- 2θ = 38.3°, d 2.349, intensity 31.3
- 2θ = 44.7°, d 2.027, intensity 29.3
- 2θ = 56.1°, d 1.640, intensity 28.9

Atomic structure:
abc: 6.647 6.647 6.647
angles: 112.88 112.88 102.85
Fractional positions:
Nd 0.154 0.154 0.629
Nd 0.475 0.846 0.000
Nd 0.525 0.525 0.371
Nd 0.846 0.475 0.000
Bi 0.000 0.000 0.000
S 0.250 0.750 0.500
S 0.750 0.250 0.500
N 0.500 0.500 0.000

=====

Record 2
This entry pairs a crystal structure of Tb4Nd2Bi3N2 with its theoretical X-ray powder pattern. Radiation: Cu Ka. Structure: a DFT-relaxed cell (GGA-PBE, Alexandria).
No peak broadening, texture or thermal motion is included.

Principal peaks in the range 2θ from 10° to 90°, low angle first:
- 2θ = 19.1°, d 4.650, intensity 14.1
- 2θ = 27.2°, d 3.276, intensity 13.2
- 2θ = 27.5°, d 3.238, intensity 29.8
- 2θ = 30.0°, d 2.977, intensity 14.0
- 2θ = 33.8°, d 2.654, intensity 100.0
- 2θ = 38.1°, d 2.363, intensity 48.1
- 2θ = 55.0°, d 1.671, intensity 16.7
- 2θ = 66.1°, d 1.414, intensity 29.6

Atomic structure:
abc: 13.522 13.522 13.522
angles: 159.87 159.87 28.61
Fractional positions:
Tb 0.083 0.583 0.500
Tb 0.417 0.917 0.500
Tb 0.583 0.083 0.500
Tb 0.917 0.417 0.500
Nd 0.192 0.192 0.000
Nd 0.808 0.808 0.000
Bi 0.322 0.322 0.000
Bi 0.500 0.500 0.000
Bi 0.678 0.678 0.000
N 0.100 0.100 0.000
N 0.900 0.900 0.000

=====

Record 3
This entry pairs a crystal structure of Nd2Th4Bi3N2 with its theoretical X-ray powder pattern. Radiation: Cu Ka. Structure: a DFT-relaxed cell (GGA-PBE, Alexandria).
No peak broadening, texture or thermal motion is included.

Principal peaks in the range 2θ from 10° to 90°, low angle first:
- 2θ = 27.2°, d 3.282, intensity 32.1
- 2θ = 29.5°, d 3.031, intensity 35.7
- 2θ = 33.0°, d 2.718, intensity 100.0
- 2θ = 37.6°, d 2.390, intensity 49.0
- 2θ = 50.7°, d 1.802, intensity 19.9
- 2θ = 54.3°, d 1.690, intensity 17.3
- 2θ = 60.6°, d 1.529, intensity 18.8
- 2θ = 65.0°, d 1.435, intensity 29.8

Atomic structure:
abc: 14.124 14.124 14.124
angles: 160.52 160.52 27.69
Fractional positions:
Nd 0.198 0.198 0.000
Nd 0.802 0.802 0.000
Th 0.087 0.587 0.500
Th 0.413 0.913 0.500
Th 0.587 0.087 0.500
Th 0.913 0.413 0.500
Bi 0.320 0.320 0.000
Bi 0.500 0.500 0.000
Bi 0.680 0.680 0.000
N 0.104 0.104 0.000
N 0.896 0.896 0.000

=====

Record 4
This entry pairs a crystal structure of NdYBiN with its theoretical X-ray powder pattern. Radiation: Cu Ka. Structure: a DFT-relaxed cell (GGA-PBE, Alexandria).
No peak broadening, texture or thermal motion is included.

Principal peaks in the range 2θ from 10° to 90°, low angle first:
- 2θ = 27.3°, d 3.269, intensity 57.9
- 2θ = 28.7°, d 3.112, intensity 59.1
- 2θ = 28.9°, d 3.085, intensity 59.9
- 2θ = 33.5°, d 2.678, intensity 100.0
- 2θ = 39.0°, d 2.312, intensity 62.7
- 2θ = 40.0°, d 2.254, intensity 31.2
- 2θ = 49.1°, d 1.856, intensity 54.0
- 2θ = 56.8°, d 1.621, intensity 35.4

Atomic structure:
abc: 4.623 4.623 9.336
angles: 90.00 90.00 90.00
Fractional positions:
Nd 0.250 0.250 0.181
Nd 0.750 0.750 0.819
Y 0.250 0.750 0.500
Y 0.750 0.250 0.500
Bi 0.250 0.250 0.807
Bi 0.750 0.750 0.193
N 0.250 0.250 0.430
N 0.750 0.750 0.570

=====

Record 5
This entry pairs a crystal structure of Y3BiPN with its theoretical X-ray powder pattern. Radiation: Cu Ka. Structure: a DFT-relaxed cell (GGA-PBE, Alexandria).
No peak broadening, texture or thermal motion is included.

Principal peaks in the range 2θ from 10° to 90°, low angle first:
- 2θ = 10.3°, d 8.586, intensity 30.8
- 2θ = 15.8°, d 5.618, intensity 36.7
- 2θ = 29.8°, d 3.003, intensity 35.7
- 2θ = 29.9°, d 2.992, intensity 36.1
- 2θ = 30.3°, d 2.947, intensity 100.0
- 2θ = 31.3°, d 2.862, intensity 22.8
- 2θ = 39.0°, d 2.312, intensity 34.5
- 2θ = 44.5°, d 2.034, intensity 20.4

Atomic structure:
abc: 8.810 4.069 9.243
angles: 90.00 102.95 90.00
Fractional positions:
Y 0.069 0.250 0.353
Y 0.344 0.250 0.982
Y 0.377 0.750 0.662
Y 0.623 0.250 0.338
Y 0.656 0.750 0.018
Y 0.931 0.750 0.647
Bi 0.318 0.750 0.282
Bi 0.682 0.250 0.718
P 0.150 0.250 0.656
P 0.850 0.750 0.344
N 0.407 0.750 0.898
N 0.593 0.250 0.102

=====

Record 6
This entry pairs a crystal structure of Pa4BiPbN8 with its theoretical X-ray powder pattern. Radiation: Cu Ka. Structure: a DFT-relaxed cell (GGA-PBE, Alexandria).
No peak broadening, texture or thermal motion is included.

Principal peaks in the range 2θ from 10° to 90°, low angle first:
- 2θ = 25.3°, d 3.525, intensity 30.9
- 2θ = 29.4°, d 3.035, intensity 60.4
- 2θ = 29.5°, d 3.024, intensity 100.0
- 2θ = 29.8°, d 3.002, intensity 57.9
- 2θ = 30.8°, d 2.902, intensity 57.8
- 2θ = 47.1°, d 1.929, intensity 35.8
- 2θ = 51.3°, d 1.780, intensity 43.8
- 2θ = 51.9°, d 1.762, intensity 39.7

Atomic structure:
abc: 7.050 7.050 7.050
angles: 60.67 60.67 60.67
Fractional positions:
Pa 0.000 0.000 0.000
Pa 0.383 0.383 0.877
Pa 0.383 0.877 0.383
Pa 0.877 0.383 0.383
Bi 0.388 0.388 0.388
Pb 0.759 0.759 0.759
N 0.118 0.118 0.613
N 0.118 0.613 0.118
N 0.141 0.141 0.141
N 0.193 0.623 0.623
N 0.605 0.605 0.605
N 0.613 0.118 0.118
N 0.623 0.193 0.623
N 0.623 0.623 0.193